1.
For Y2AsHW, a crystal structure in Alexandria, relaxed with GGA-PBE gives the computed powder X-ray diffraction pattern in this record (Cu Kα (weighted mean of Kα1 and Kα2)).
Neutral-atom scattering factors, no anomalous dispersion.

Top 10 peaks for 15 to 90 degrees two-theta, sorted by position:
| Position (°2θ) | intensity |
| --- | --- |
| 16.16 | 30 |
| 25.66 | 38 |
| 30.47 | 81 |
| 32.65 | 100 |
| 41.98 | 41 |
| 45.26 | 55 |
| 46.85 | 36 |
| 54.17 | 20 |
| 63.41 | 29 |
| 73.17 | 19 |

Atomic structure:
Cell: 5.4848 5.4848 3.4722 Å, 90.00 90.00 90.00°
Space group P4/mmm (No. 123)
Inequivalent atoms, fractional coordinates:
Y1 0.0000 0.5000 0.0000 [2 per cell]
As1 0.0000 0.0000 0.5000 [1 per cell]
H1 0.5000 0.5000 0.5000 [1 per cell]
W1 0.5000 0.5000 0.0000 [1 per cell]

2.
For Pr7Y2Ho3, a crystal structure in Alexandria, relaxed with GGA-PBE gives the computed powder X-ray diffraction pattern in this record (Cu Kα (weighted mean of Kα1 and Kα2)).
Neutral-atom scattering factors, no anomalous dispersion.

Top 10 peaks for 15 to 90 degrees two-theta, sorted by position:
| Position (°2θ) | intensity |
| --- | --- |
| 27.88 | 30 |
| 29.94 | 19 |
| 30.26 | 61 |
| 30.59 | 100 |
| 30.82 | 67 |
| 31.59 | 38 |
| 32.71 | 31 |
| 33.83 | 26 |
| 50.04 | 19 |
| 59.60 | 18 |

Atomic structure:
Cell: 5.9273 3.6453 19.2476 Å, 90.00 93.92 90.00°
Space group P2/m (No. 10)
Inequivalent atoms, fractional coordinates:
Pr1 0.0000 0.0000 0.0000 [1 per cell]
Pr2 0.1751 0.5000 0.1844 [2 per cell]
Pr3 0.2583 0.5000 0.5344 [2 per cell]
Pr4 0.3283 0.0000 0.8551 [2 per cell]
Y1 0.2961 0.5000 0.7016 [2 per cell]
Ho1 0.2155 0.0000 0.3681 [2 per cell]
Ho2 0.5000 0.5000 0.0000 [1 per cell]

3.
For Ba2CrGeTe, a crystal structure in Alexandria, relaxed with GGA-PBE gives the computed powder X-ray diffraction pattern in this record (Cu Kα (weighted mean of Kα1 and Kα2)).
Neutral-atom scattering factors, no anomalous dispersion.

Top 10 peaks for 15 to 90 degrees two-theta, sorted by position:
| Position (°2θ) | intensity |
| --- | --- |
| 27.66 | 100 |
| 28.29 | 76 |
| 38.59 | 16 |
| 40.43 | 29 |
| 48.53 | 33 |
| 49.69 | 40 |
| 57.12 | 20 |
| 66.24 | 13 |
| 77.87 | 11 |
| 79.36 | 16 |

Atomic structure:
Cell: 6.3099 6.3099 4.6665 Å, 90.00 90.00 90.00°
Space group P4/mmm (No. 123)
Inequivalent atoms, fractional coordinates:
Ba1 0.0000 0.5000 0.0000 [2 per cell]
Cr1 0.0000 0.0000 0.0000 [1 per cell]
Ge1 0.0000 0.0000 0.5000 [1 per cell]
Te1 0.5000 0.5000 0.5000 [1 per cell]

4.
For VMoRuPt, a crystal structure in Alexandria, relaxed with GGA-PBE gives the computed powder X-ray diffraction pattern in this record (Cu Kα (weighted mean of Kα1 and Kα2)).
Neutral-atom scattering factors, no anomalous dispersion.

Top 10 peaks for 15 to 90 degrees two-theta, sorted by position:
| Position (°2θ) | intensity |
| --- | --- |
| 23.10 | 11 |
| 40.29 | 100 |
| 45.86 | 17 |
| 47.20 | 16 |
| 47.53 | 15 |
| 67.93 | 10 |
| 81.05 | 13 |
| 83.02 | 12 |
| 83.51 | 12 |
| 87.08 | 11 |

Atomic structure:
Cell: 3.8258 3.8510 3.9572 Å, 90.00 90.00 90.00°
Space group Pmmm (No. 47)
Inequivalent atoms, fractional coordinates:
V1 0.0000 0.0000 0.0000 [1 per cell]
Mo1 0.5000 0.0000 0.5000 [1 per cell]
Ru1 0.0000 0.5000 0.5000 [1 per cell]
Pt1 0.5000 0.5000 0.0000 [1 per cell]